Diffraction record for Li7CoO4F2. The XRD peak list is computed, not measured: it uses the GGA+U geometry in Alexandria and CuKα.

Crystal structure
a b c (Å): 5.434 5.610 10.767
angles (deg): 80.31 82.57 62.02
Space group P1 (No. 1)
Asymmetric unit:
Li: 0.000 0.000 0.000 (multiplicity 1)
Li: 0.006 0.766 0.730 (multiplicity 1)
Li: 0.153 0.000 0.434 (multiplicity 1)
Li: 0.161 0.559 0.265 (multiplicity 1)
Li: 0.376 0.440 0.027 (multiplicity 1)
Li: 0.412 0.913 0.142 (multiplicity 1)
Li: 0.420 0.455 0.566 (multiplicity 1)
Li: 0.440 0.120 0.887 (multiplicity 1)
Li: 0.508 0.589 0.790 (multiplicity 1)
Li: 0.526 0.998 0.672 (multiplicity 1)
Li: 0.562 0.567 0.328 (multiplicity 1)
Li: 0.711 0.170 0.233 (multiplicity 1)
Li: 0.874 0.464 0.132 (multiplicity 1)
Li: 0.961 0.434 0.889 (multiplicity 1)
Co: 0.832 0.784 0.474 (multiplicity 1)
Co: 0.938 0.310 0.636 (multiplicity 1)
O: 0.175 0.219 0.027 (multiplicity 1)
O: 0.206 0.338 0.716 (multiplicity 1)
O: 0.216 0.633 0.422 (multiplicity 1)
O: 0.485 0.530 0.162 (multiplicity 1)
O: 0.602 0.662 0.605 (multiplicity 1)
O: 0.630 0.881 0.309 (multiplicity 1)
O: 0.814 0.825 0.184 (multiplicity 1)
O: 0.837 0.063 0.586 (multiplicity 1)
F: 0.173 0.734 0.883 (multiplicity 1)
F: 0.677 0.791 0.830 (multiplicity 1)
F: 0.690 0.270 0.901 (multiplicity 1)
F: 0.954 0.276 0.309 (multiplicity 1)

The 6 most intense peaks (10 to 90 degrees two-theta), low angle first:
h k l, Position (°2θ), I/Imax
1 0 0, 18.52, 100
1 0 -1, 20.79, 87
0 1 2, 23.13, 59
0 1 3, 29.27, 58
1 2 0, 32.45, 45
0 1 -3, 32.98, 64